[1]
Diffraction record for Ga7Sn. The powder X-ray diffraction pattern is theoretical, not measured: it uses DFT lattice parameters and positions (PBE) and a wavelength of 1.5418 Å.

Crystal structure
```
data_Ga7Sn
_cell_length_a 4.2327
_cell_length_b 4.2327
_cell_length_c 17.7680
_cell_angle_alpha 90.00
_cell_angle_beta 90.00
_cell_angle_gamma 90.00
_space_group_name_H-M_alt 'I 4/m m m'
_space_group_IT_number 139
_space_group_name_Hall '-I 4 2'
loop_
_atom_site_label
_atom_site_type_symbol
_atom_site_fract_x
_atom_site_fract_y
_atom_site_fract_z
Ga1 Ga 0.0000 0.0000 0.0000
Ga2 Ga 0.0000 0.0000 0.2494
Ga3 Ga 0.0000 0.5000 0.1323
Sn1 Sn 0.0000 0.0000 0.5000
```

The 10 most intense peaks (10 to 80 degrees two-theta), most intense first:
- 2θ 36.19, d 2.482, I 100, hkl 1 1 4
- 2θ 42.73, d 2.116, I 32, hkl 2 0 0
- 2θ 73.96, d 1.282, I 24, hkl 3 1 4
- 2θ 60.42, d 1.532, I 21, hkl 2 0 8
- 2θ 40.62, d 2.221, I 17, hkl 0 0 8
- 2θ 71.03, d 1.327, I 12, hkl 1 1 12
- 2θ 62.02, d 1.496, I 10, hkl 2 2 0
- 2θ 76.80, d 1.241, I 10, hkl 2 2 8
- 2θ 31.54, d 2.836, I 2, hkl 1 1 2
- 2θ 21.58, d 4.117, I 2, hkl 1 0 1


[2]
Diffraction record for Tb3MgIn. The powder X-ray diffraction pattern is theoretical, not measured: it uses DFT lattice parameters and positions (PBE) and a wavelength of 1.5418 Å.

Crystal structure
```
data_Tb3MgIn
_cell_length_a 5.1130
_cell_length_b 21.6252
_cell_length_c 5.1107
_cell_angle_alpha 90.00
_cell_angle_beta 90.00
_cell_angle_gamma 90.00
_space_group_name_H-M_alt 'C m c m'
_space_group_IT_number 63
_space_group_name_Hall '-C 2c 2'
loop_
_atom_site_label
_atom_site_type_symbol
_atom_site_fract_x
_atom_site_fract_y
_atom_site_fract_z
Tb1 Tb 0.0000 0.0563 0.2500
Tb2 Tb 0.0000 0.2497 0.2500
Tb3 Tb 0.0000 0.4414 0.2500
Mg1 Mg 0.0000 0.1534 0.7500
In1 In 0.0000 0.3442 0.7500
```

The 10 most intense peaks (10 to 80 degrees two-theta), most intense first:
- 2θ 32.28, d 2.774, I 100, hkl 1 5 1
- 2θ 35.11, d 2.556, I 41, hkl 2 0 0
- 2θ 61.21, d 1.514, I 32, hkl 3 5 1
- 2θ 55.68, d 1.651, I 19, hkl 2 10 0
- 2θ 50.50, d 1.807, I 15, hkl 2 0 2
- 2θ 24.98, d 3.565, I 12, hkl 1 1 1
- 2θ 41.77, d 2.163, I 11, hkl 0 10 0
- 2θ 67.55, d 1.387, I 11, hkl 2 10 2
- 2θ 70.30, d 1.339, I 8, hkl 1 15 1
- 2θ 24.70, d 3.604, I 6, hkl 0 6 0


[3]
Diffraction record for SmMgCd. The powder X-ray diffraction pattern is theoretical, not measured: it uses DFT lattice parameters and positions (PBE) and a wavelength of 1.5418 Å.

Crystal structure
```
data_SmMgCd
_cell_length_a 3.5817
_cell_length_b 3.5787
_cell_length_c 12.1742
_cell_angle_alpha 90.00
_cell_angle_beta 90.01
_cell_angle_gamma 90.00
_space_group_name_H-M_alt 'P 1 m 1'
_space_group_IT_number 6
loop_
_space_group_symop_operation_xyz
'x,y,z'
'x,-y,z'
loop_
_atom_site_label
_atom_site_type_symbol
_atom_site_fract_x
_atom_site_fract_y
_atom_site_fract_z
Sm1 Sm 0.0000 0.0000 0.0000
Sm2 Sm 0.5001 0.5000 0.2215
Mg1 Mg 0.4987 0.5000 0.5333
Mg2 Mg 0.9981 0.0000 0.6899
Cd1 Cd 0.9999 0.0000 0.3980
Cd2 Cd 0.4996 0.5000 0.8238
```

The 10 most intense peaks (10 to 80 degrees two-theta), most intense first:
- 2θ 33.38, d 2.685, I 100, hkl 1 0 3
- 2θ 28.93, d 3.086, I 77, hkl 1 0 2
- 2θ 35.46, d 2.532, I 60, hkl 1 1 0
- 2θ 62.34, d 1.489, I 32, hkl 2 1 -3
- 2θ 52.12, d 1.755, I 24, hkl 1 1 5
- 2θ 51.02, d 1.790, I 21, hkl 2 0 0
- 2θ 59.72, d 1.548, I 20, hkl 2 1 2
- 2θ 36.92, d 2.435, I 16, hkl 0 0 5
- 2θ 64.62, d 1.442, I 12, hkl 2 0 5
- 2θ 14.55, d 6.087, I 12, hkl 0 0 2


[4]
Diffraction record for Sm6Y2Tm3Sc. The powder X-ray diffraction pattern is theoretical, not measured: it uses DFT lattice parameters and positions (PBE) and a wavelength of 1.5418 Å.

Crystal structure
```
data_Sm6Y2Tm3Sc
_cell_length_a 6.1712
_cell_length_b 10.6849
_cell_length_c 11.6694
_cell_angle_alpha 90.00
_cell_angle_beta 100.12
_cell_angle_gamma 90.00
_space_group_name_H-M_alt 'C 1 2/m 1'
_space_group_IT_number 12
loop_
_space_group_symop_operation_xyz
'x,y,z'
'-x,-y,-z'
'-x,y,-z'
'x,-y,z'
'x+1/2,y+1/2,z'
'-x+1/2,-y+1/2,-z'
'-x+1/2,y+1/2,-z'
'x+1/2,-y+1/2,z'
loop_
_atom_site_label
_atom_site_type_symbol
_atom_site_fract_x
_atom_site_fract_y
_atom_site_fract_z
Sm1 Sm 0.2473 0.0000 0.2503
Sm2 Sm 0.2478 0.1650 0.7497
Y1 Y 0.0000 0.3333 0.5000
Tm1 Tm 0.0000 0.1666 0.0000
Tm2 Tm 0.0000 0.5000 0.0000
Sc1 Sc 0.0000 0.0000 0.5000
```

The 10 most intense peaks (10 to 80 degrees two-theta), most intense first:
- 2θ 30.78, d 2.904, I 100, hkl 1 3 1
- 2θ 35.80, d 2.508, I 67, hkl 2 0 2
- 2θ 31.14, d 2.872, I 32, hkl 0 0 4
- 2θ 61.24, d 1.514, I 28, hkl 3 3 3
- 2θ 51.29, d 1.781, I 24, hkl 0 6 0
- 2θ 51.76, d 1.766, I 23, hkl 1 3 5
- 2θ 61.65, d 1.504, I 14, hkl 2 0 6
- 2θ 61.03, d 1.518, I 14, hkl 4 0 0
- 2θ 64.13, d 1.452, I 12, hkl 2 6 2
- 2θ 75.86, d 1.254, I 7, hkl 4 0 4